This entry pairs a crystal structure of Ni4BiAu with its calculated XRD peak list. Radiation: a wavelength of 1.5418 Å. Structure: DFT lattice parameters and positions (PBE).
Intensities are scaled so that the largest is 100.

Crystal structure
a b c (Å): 4.972 4.972 4.972
angles (deg): 60.00 60.00 60.00
Element x y z (fractional)
1 Ni 0.376 0.376 0.376
2 Ni 0.376 0.376 0.873
3 Ni 0.376 0.873 0.376
4 Ni 0.873 0.376 0.376
5 Bi 0.000 0.000 0.000
6 Au 0.750 0.750 0.750

Principal peaks in the range 5° ≤ 2θ ≤ 70°, sorted by position:
d (Å)	I (rel.)
4.060	24
2.486	75
2.120	100
2.030	11
1.758	2
1.613	7
1.435	28
1.353	31